Record 1
Structure and computed powder X-ray diffraction pattern of Sm2DyYS6 (a crystal structure in Alexandria, relaxed with PBE; Cu Kα (weighted mean of Kα1 and Kα2)).
Peak positions follow from Bragg's law for the DFT cell and can differ from measured ones.

Principal peaks in the range 15 to 90 degrees two-theta, by angle:
d (Å)  I (rel.)
3.694  1000
3.504  955
2.542  504
2.323  811
2.058  495
2.023  515

Atomic structure:
Cell: 7.409 7.409 7.409 Å, 56.45 56.45 56.45°
Atoms (fractional coordinates):
Sm 0.000 0.000 0.000
Sm 0.500 0.500 0.500
Dy 0.204 0.204 0.204
Y 0.704 0.704 0.704
S 0.093 0.813 0.409
S 0.312 0.592 0.910
S 0.409 0.093 0.813
S 0.592 0.910 0.312
S 0.813 0.409 0.093
S 0.910 0.312 0.592

***

Record 2
Structure and computed powder X-ray diffraction pattern of Ac2Er3Cd4 (a crystal structure in Alexandria, relaxed with PBE; Cu Kα (weighted mean of Kα1 and Kα2)).
Peak positions follow from Bragg's law for the DFT cell and can differ from measured ones.

Principal peaks in the range 15 to 90 degrees two-theta, by angle:
d (Å)  I (rel.)
3.133  540
3.066  950
3.050  525
2.695  1000
2.506  446
1.566  497

Atomic structure:
Cell: 9.952 9.952 8.485 Å, 90.00 90.00 138.94°
Atoms (fractional coordinates):
Ac 0.095 0.905 0.899
Ac 0.405 0.595 0.399
Ac 0.595 0.405 0.601
Ac 0.905 0.095 0.101
Er 0.000 0.000 0.500
Er 0.008 0.492 0.750
Er 0.492 0.008 0.250
Er 0.500 0.500 0.000
Er 0.508 0.992 0.750
Er 0.992 0.508 0.250
Cd 0.167 0.833 0.512
Cd 0.177 0.323 0.750
Cd 0.323 0.177 0.250
Cd 0.333 0.667 0.012
Cd 0.667 0.333 0.988
Cd 0.677 0.823 0.750
Cd 0.823 0.677 0.250
Cd 0.833 0.167 0.488

***

Record 3
Structure and computed powder X-ray diffraction pattern of RbTl12Hg6 (a crystal structure in Alexandria, relaxed with PBE; Cu Kα (weighted mean of Kα1 and Kα2)).
Peak positions follow from Bragg's law for the DFT cell and can differ from measured ones.

Principal peaks in the range 15 to 90 degrees two-theta, by angle:
d (Å)  I (rel.)
3.288  843
3.156  556
2.763  774
2.683  1000
2.426  536
2.256  617

Atomic structure:
Cell: 9.031 9.031 9.031 Å, 105.87 105.87 105.87°
Atoms (fractional coordinates):
Rb 0.000 0.000 0.000
Tl 0.116 0.500 0.884
Tl 0.116 0.884 0.500
Tl 0.153 0.405 0.405
Tl 0.405 0.153 0.405
Tl 0.405 0.405 0.153
Tl 0.500 0.116 0.884
Tl 0.500 0.884 0.116
Tl 0.595 0.595 0.847
Tl 0.595 0.847 0.595
Tl 0.847 0.595 0.595
Tl 0.884 0.116 0.500
Tl 0.884 0.500 0.116
Hg 0.278 0.278 0.716
Hg 0.278 0.716 0.278
Hg 0.284 0.722 0.722
Hg 0.716 0.278 0.278
Hg 0.722 0.284 0.722
Hg 0.722 0.722 0.284

***

Record 4
Structure and computed powder X-ray diffraction pattern of AcNdPb (a crystal structure in Alexandria, relaxed with PBE; Cu Kα (weighted mean of Kα1 and Kα2)).
Peak positions follow from Bragg's law for the DFT cell and can differ from measured ones.

Principal peaks in the range 15 to 90 degrees two-theta, by angle:
d (Å)  I (rel.)
3.458  402
3.235  754
2.760  1000
2.590  336
2.446  676
1.909  377

Atomic structure:
Cell: 4.891 4.891 9.158 Å, 90.00 90.00 90.00°
Atoms (fractional coordinates):
Ac 0.250 0.250 0.151
Ac 0.750 0.750 0.849
Nd 0.250 0.750 0.500
Nd 0.750 0.250 0.500
Pb 0.250 0.250 0.765
Pb 0.750 0.750 0.235

***

Record 5
Structure and computed powder X-ray diffraction pattern of Er2Ga3Ru (a crystal structure in Alexandria, relaxed with PBE; Cu Kα (weighted mean of Kα1 and Kα2)).
Peak positions follow from Bragg's law for the DFT cell and can differ from measured ones.

Principal peaks in the range 15 to 90 degrees two-theta, by angle:
d (Å)  I (rel.)
2.713  584
2.683  393
2.313  349
2.303  1000
2.285  431
2.211  249

Atomic structure:
Cell: 5.367 5.367 5.367 Å, 60.74 60.74 60.74°
Atoms (fractional coordinates):
Er 0.127 0.127 0.127
Er 0.873 0.873 0.873
Ga 0.000 0.500 0.500
Ga 0.500 0.000 0.500
Ga 0.500 0.500 0.000
Ru 0.500 0.500 0.500

***

Record 6
Structure and computed powder X-ray diffraction pattern of PaTl2TeO8 (a crystal structure in Alexandria, relaxed with PBE; Cu Kα (weighted mean of Kα1 and Kα2)).
Peak positions follow from Bragg's law for the DFT cell and can differ from measured ones.

Principal peaks in the range 15 to 90 degrees two-theta, by angle:
d (Å)  I (rel.)
3.679  587
3.552  512
2.857  1000
2.555  317
1.924  412
1.886  361

Atomic structure:
Cell: 5.114 6.892 5.114 Å, 90.00 92.01 90.00°
Atoms (fractional coordinates):
Pa 0.000 0.000 0.000
Tl 0.500 0.258 0.500
Tl 0.500 0.742 0.500
Te 0.000 0.500 0.000
O 0.178 0.270 0.823
O 0.178 0.730 0.823
O 0.281 0.500 0.282
O 0.295 0.000 0.297
O 0.705 0.000 0.703
O 0.719 0.500 0.718
O 0.822 0.270 0.177
O 0.822 0.730 0.177

***

Record 7
Structure and computed powder X-ray diffraction pattern of K2AcH6 (a crystal structure in Alexandria, relaxed with PBE; Cu Kα (weighted mean of Kα1 and Kα2)).
Peak positions follow from Bragg's law for the DFT cell and can differ from measured ones.

Principal peaks in the range 15 to 90 degrees two-theta, by angle:
d (Å)  I (rel.)
5.304  1000
3.248  879
2.770  623
2.108  293
1.875  365
1.768  228

Atomic structure:
Cell: 6.496 6.496 6.496 Å, 60.00 60.00 60.00°
Atoms (fractional coordinates):
K 0.250 0.250 0.250
K 0.750 0.750 0.750
Ac 0.000 0.000 0.000
H 0.259 0.259 0.741
H 0.259 0.741 0.259
H 0.259 0.741 0.741
H 0.741 0.259 0.259
H 0.741 0.259 0.741
H 0.741 0.741 0.259